Na3FeBSO7: theoretical powder diffraction line list (Cu Kα X-rays), based on a GGA+U-relaxed structure.
Neutral-atom scattering factors, no anomalous dispersion.

Structure:
Unit cell a=5.283 b=6.904 c=9.068 alpha=90.00 beta=91.13 gamma=90.00
Sites, in units of the cell vectors:
Na (0.238, 0.010, 0.265)
Na (0.238, 0.490, 0.265)
Na (0.253, 0.250, 0.566)
Na (0.747, 0.750, 0.434)
Na (0.762, 0.510, 0.735)
Na (0.762, 0.990, 0.735)
Fe (0.239, 0.750, 0.837)
Fe (0.761, 0.250, 0.163)
B (0.266, 0.750, 0.562)
B (0.734, 0.250, 0.438)
S (0.281, 0.250, 0.920)
S (0.719, 0.750, 0.080)
O (0.032, 0.750, 0.632)
O (0.146, 0.250, 0.063)
O (0.211, 0.076, 0.831)
O (0.211, 0.424, 0.831)
O (0.294, 0.750, 0.413)
O (0.438, 0.750, 0.049)
O (0.476, 0.750, 0.662)
O (0.524, 0.250, 0.338)
O (0.562, 0.250, 0.951)
O (0.706, 0.250, 0.587)
O (0.789, 0.576, 0.169)
O (0.789, 0.924, 0.169)
O (0.854, 0.750, 0.937)
O (0.968, 0.250, 0.368)

The 10 most intense peaks (2θ = 10–90°), sorted by position:
2theta	I_rel
16.14	40.1
19.28	28.1
19.61	28.0
25.64	53.7
25.81	100.0
32.40	72.6
32.62	87.8
33.93	91.7
48.05	42.6
53.08	53.5